# Na2Sr6PtRh
Computed powder X-ray diffraction pattern, CuKα. Input: a DFT-relaxed cell (PBE, Alexandria).
Intensities are scaled so that the largest is 100.

Peak list (10 most intense, 2θ = 10–90°, in order of rising 2θ)
Position (°2θ)	I (rel.)
14.8	100
21.0	12
29.9	80
33.5	19
33.6	32
42.9	40
45.5	14
45.7	12
53.1	11
70.6	13

Atomic structure:
```
Na2Sr6PtRh
1.0
5.9631 -5.9665 0.0000
5.9631 5.9665 0.0000
-5.9268 0.0000 5.9727
Na Sr Pt Rh
2 6 1 1
Direct
0.2500 0.7500 0.0000
0.7500 0.2500 0.0000
0.2486 0.2486 0.5015
0.2485 0.2485 0.9970
0.2486 0.7530 0.5013
0.7530 0.2486 0.5013
0.7530 0.7530 0.0060
0.7529 0.7529 0.5012
0.5009 0.5009 0.5016
0.0008 0.0008 0.5014
```